For Ba6HAu, a crystal structure in Alexandria, relaxed with PBE gives the calculated X-ray diffraction stick pattern in this record (Cu Kα X-rays).
Neutral-atom scattering factors, no anomalous dispersion.

Crystal structure
```
data_Ba6HAu
_cell_length_a 7.8031
_cell_length_b 7.8031
_cell_length_c 7.6088
_cell_angle_alpha 90.00
_cell_angle_beta 90.00
_cell_angle_gamma 120.00
_space_group_name_H-M_alt 'P -3 1 m'
_space_group_IT_number 162
_space_group_name_Hall '-P 3 2'
loop_
_atom_site_label
_atom_site_fract_x
_atom_site_fract_y
_atom_site_fract_z
_atom_site_occupancy
Ba1 0.0000 0.3228 0.2391 1
H1 0.0000 0.0000 0.0000 1
Au1 0.0000 0.0000 0.5000 1
```

The 12 most intense peaks (5 to 70 degrees two-theta), most intense first:
25.66°, d 3.472, I = 100; 32.88°, d 2.724, I = 37; 40.03°, d 2.253, I = 29; 13.10°, d 6.758, I = 24; 42.51°, d 2.126, I = 23; 48.15°, d 1.890, I = 17; 17.55°, d 5.053, I = 17; 64.35°, d 1.448, I = 14; 23.38°, d 3.804, I = 14; 64.07°, d 1.453, I = 14; 46.87°, d 1.938, I = 12; 52.73°, d 1.736, I = 9